(1)
AcMnPO6: theoretical X-ray diffraction stick pattern (Cu Kα, 1.54184 Å), based on a crystal structure in Alexandria, relaxed with GGA+U.

Crystal structure
abc: 4.9108 4.9108 5.3406
angles: 90.00 90.00 120.00
Positions (direct):
Ac 0.0000 0.0000 0.0000
Mn 0.3333 0.6667 0.5000
P 0.6667 0.3333 0.5000
O 0.3991 0.0305 0.6880
O 0.3991 0.3686 0.3120
O 0.6314 0.0305 0.3120
O 0.6314 0.6009 0.6880
O 0.9695 0.3686 0.6880
O 0.9695 0.6009 0.3120

The 12 most intense peaks (2θ from 10° to 90°), low angle first:
2θ 20.89, rel. 30; 2θ 26.80, rel. 100; 2θ 36.60, rel. 21; 2θ 39.86, rel. 18; 2θ 40.43, rel. 13; 2θ 42.51, rel. 9; 2θ 45.94, rel. 20; 2θ 50.49, rel. 27; 2θ 56.00, rel. 11; 2θ 60.11, rel. 21; 2θ 80.51, rel. 9; 2θ 84.03, rel. 9

(2)
Ac2MnPO6: theoretical X-ray diffraction stick pattern (Cu Kα, 1.54184 Å), based on a crystal structure in Alexandria, relaxed with GGA+U.

Crystal structure
abc: 5.5835 5.5835 4.2360
angles: 90.00 90.00 90.00
Positions (direct):
Ac 0.0000 0.5000 0.0000
Ac 0.5000 0.0000 0.0000
Mn 0.0000 0.0000 0.5223
P 0.5000 0.5000 0.5313
O 0.0000 0.0000 0.0334
O 0.2702 0.2702 0.5698
O 0.2702 0.7298 0.5698
O 0.5000 0.5000 0.1486
O 0.7298 0.2702 0.5698
O 0.7298 0.7298 0.5698

The 12 most intense peaks (2θ from 10° to 90°), low angle first:
2θ 20.97, rel. 25; 2θ 22.52, rel. 42; 2θ 30.96, rel. 100; 2θ 32.06, rel. 45; 2θ 38.63, rel. 43; 2θ 42.69, rel. 14; 2θ 45.97, rel. 26; 2θ 48.79, rel. 15; 2θ 54.37, rel. 20; 2θ 56.46, rel. 37; 2θ 64.53, rel. 16; 2θ 88.71, rel. 12

(3)
AcPaMnO5: theoretical X-ray diffraction stick pattern (Cu Kα, 1.54184 Å), based on a crystal structure in Alexandria, relaxed with GGA+U.

Crystal structure
abc: 6.2521 6.2521 8.1391
angles: 104.63 104.63 107.40
Positions (direct):
Ac 0.1725 0.8275 0.7500
Ac 0.8275 0.1725 0.2500
Pa 0.5000 0.5000 0.0000
Pa 0.5000 0.5000 0.5000
Mn 0.1831 0.8169 0.2500
Mn 0.8169 0.1831 0.7500
O 0.1517 0.2270 0.9090
O 0.1889 0.6017 0.4060
O 0.2270 0.1517 0.4090
O 0.3983 0.8111 0.0940
O 0.4192 0.5808 0.7500
O 0.5808 0.4192 0.2500
O 0.6017 0.1889 0.9060
O 0.7730 0.8483 0.5910
O 0.8111 0.3983 0.5940
O 0.8483 0.7730 0.0910

The 12 most intense peaks (2θ from 10° to 90°), low angle first:
2θ 15.89, rel. 22; 2θ 16.17, rel. 37; 2θ 23.77, rel. 100; 2θ 26.63, rel. 71; 2θ 29.76, rel. 93; 2θ 30.07, rel. 59; 2θ 32.68, rel. 34; 2θ 33.60, rel. 28; 2θ 38.24, rel. 26; 2θ 49.00, rel. 30; 2θ 53.17, rel. 23; 2θ 56.50, rel. 27

(4)
Ac2PaMn3O12: theoretical X-ray diffraction stick pattern (Cu Kα, 1.54184 Å), based on a crystal structure in Alexandria, relaxed with GGA+U.

Crystal structure
abc: 6.6427 6.6427 6.6427
angles: 63.55 63.55 63.55
Positions (direct):
Ac 0.1118 0.1118 0.1118
Ac 0.8882 0.8882 0.8882
Pa 0.5000 0.5000 0.5000
Mn 0.0000 0.5000 0.5000
Mn 0.5000 0.0000 0.5000
Mn 0.5000 0.5000 0.0000
O 0.0781 0.6410 0.6410
O 0.2326 0.2326 0.6270
O 0.2326 0.6270 0.2326
O 0.3590 0.3590 0.9219
O 0.3590 0.9219 0.3590
O 0.3730 0.7674 0.7674
O 0.6270 0.2326 0.2326
O 0.6410 0.0781 0.6410
O 0.6410 0.6410 0.0781
O 0.7674 0.3730 0.7674
O 0.7674 0.7674 0.3730
O 0.9219 0.3590 0.3590

The 12 most intense peaks (2θ from 10° to 90°), low angle first:
2θ 18.45, rel. 35; 2θ 25.46, rel. 96; 2θ 30.04, rel. 22; 2θ 30.67, rel. 100; 2θ 31.63, rel. 30; 2θ 31.91, rel. 68; 2θ 41.26, rel. 34; 2θ 48.26, rel. 31; 2θ 49.11, rel. 47; 2θ 52.31, rel. 40; 2θ 55.49, rel. 21; 2θ 62.59, rel. 25